This entry pairs a crystal structure of Bi2PdPt with its calculated XRD peak list. Radiation: a wavelength of 1.5418 Å. Structure: the GGA-PBE geometry in the Materials Project.
Peak positions follow from Bragg's law for the DFT cell and can differ from measured ones.

Most intense lines, 15 to 90 degrees two-theta, by angle:
| Position (°2θ) | I_rel |
| --- | --- |
| 28.37 | 100.0 |
| 39.74 | 79.8 |
| 41.34 | 71.0 |
| 50.90 | 20.8 |
| 54.27 | 17.9 |
| 58.69 | 25.8 |
| 67.57 | 18.3 |
| 74.30 | 26.0 |
| 75.38 | 12.6 |
| 80.86 | 20.7 |

Cell lengths 4.368, 4.368, 5.668 Å; angles 90.00, 90.00, 120.00 degrees
Fractional coordinates of all 4 atoms:
Bi (0.333, 0.667, 0.242)
Bi (0.667, 0.333, 0.758)
Pd (0.000, 0.000, 0.500)
Pt (0.000, 0.000, 0.000)


This entry pairs a crystal structure of RuN2Cl4O with its calculated XRD peak list. Radiation: a wavelength of 1.5418 Å. Structure: the GGA-PBE geometry in the Materials Project.
Peak positions follow from Bragg's law for the DFT cell and can differ from measured ones.

Most intense lines, 15 to 90 degrees two-theta, by angle:
| Position (°2θ) | I_rel |
| --- | --- |
| 16.44 | 52.6 |
| 17.10 | 42.4 |
| 21.98 | 100.0 |
| 23.32 | 38.2 |
| 24.21 | 36.9 |
| 24.40 | 46.3 |
| 25.46 | 57.6 |
| 26.27 | 53.0 |
| 31.40 | 60.6 |
| 38.89 | 45.0 |

Cell lengths 8.159, 8.159, 9.138 Å; angles 95.50, 95.50, 53.26 degrees
Fractional coordinates of all 16 atoms:
Ru (0.101, 0.101, 0.406)
Ru (0.899, 0.899, 0.594)
N (0.000, 0.000, 0.500)
N (0.157, 0.157, 0.930)
N (0.500, 0.500, 0.500)
N (0.843, 0.843, 0.070)
Cl (0.022, 0.637, 0.170)
Cl (0.153, 0.688, 0.753)
Cl (0.312, 0.847, 0.247)
Cl (0.363, 0.978, 0.830)
Cl (0.637, 0.022, 0.170)
Cl (0.688, 0.153, 0.753)
Cl (0.847, 0.312, 0.247)
Cl (0.978, 0.363, 0.830)
O (0.206, 0.206, 0.507)
O (0.794, 0.794, 0.493)


This entry pairs a crystal structure of Ho2MgS4 with its calculated XRD peak list. Radiation: a wavelength of 1.5418 Å. Structure: the GGA-PBE geometry in the Materials Project.
Peak positions follow from Bragg's law for the DFT cell and can differ from measured ones.

Most intense lines, 15 to 90 degrees two-theta, by angle:
| Position (°2θ) | I_rel |
| --- | --- |
| 16.24 | 33.1 |
| 21.09 | 100.0 |
| 24.80 | 40.1 |
| 25.14 | 75.0 |
| 26.41 | 75.8 |
| 26.51 | 37.9 |
| 31.13 | 44.2 |
| 43.46 | 87.4 |
| 47.90 | 36.5 |
| 48.71 | 31.9 |

Cell lengths 7.205, 8.337, 12.878 Å; angles 99.50, 95.61, 90.04 degrees
Fractional coordinates of all 28 atoms:
Ho (0.132, 0.445, 0.304)
Ho (0.133, 0.957, 0.308)
Ho (0.259, 0.127, 0.001)
Ho (0.364, 0.300, 0.694)
Ho (0.636, 0.700, 0.306)
Ho (0.741, 0.873, 0.999)
Ho (0.867, 0.043, 0.692)
Ho (0.868, 0.555, 0.696)
Mg (0.251, 0.622, 0.996)
Mg (0.366, 0.799, 0.700)
Mg (0.634, 0.201, 0.300)
Mg (0.749, 0.378, 0.004)
S (0.097, 0.406, 0.102)
S (0.105, 0.898, 0.105)
S (0.194, 0.543, 0.629)
S (0.196, 0.022, 0.629)
S (0.309, 0.718, 0.375)
S (0.329, 0.219, 0.372)
S (0.393, 0.845, 0.892)
S (0.405, 0.354, 0.897)
S (0.595, 0.646, 0.103)
S (0.607, 0.155, 0.108)
S (0.671, 0.781, 0.628)
S (0.691, 0.282, 0.625)
S (0.804, 0.978, 0.371)
S (0.806, 0.457, 0.371)
S (0.895, 0.102, 0.895)
S (0.903, 0.594, 0.898)


This entry pairs a crystal structure of YTi3O6 with its calculated XRD peak list. Radiation: a wavelength of 1.5418 Å. Structure: the GGA-PBE geometry in the Materials Project.
Peak positions follow from Bragg's law for the DFT cell and can differ from measured ones.

Most intense lines, 15 to 90 degrees two-theta, by angle:
| Position (°2θ) | I_rel |
| --- | --- |
| 15.54 | 29.4 |
| 16.56 | 33.1 |
| 27.50 | 39.0 |
| 30.60 | 26.9 |
| 34.76 | 100.0 |
| 35.07 | 38.1 |
| 35.21 | 40.7 |
| 35.52 | 51.6 |
| 36.29 | 34.6 |
| 47.82 | 30.0 |

Cell lengths 6.047, 6.565, 15.068 Å; angles 97.18, 92.66, 117.06 degrees
Fractional coordinates of all 40 atoms:
Y (0.030, 0.499, 0.377)
Y (0.330, 0.175, 0.963)
Y (0.670, 0.825, 0.037)
Y (0.970, 0.501, 0.623)
Ti (0.000, 0.000, 0.500)
Ti (0.000, 0.500, 0.000)
Ti (0.208, 0.345, 0.176)
Ti (0.209, 0.843, 0.159)
Ti (0.232, 0.660, 0.841)
Ti (0.415, 0.173, 0.332)
Ti (0.500, 0.000, 0.500)
Ti (0.500, 0.500, 0.500)
Ti (0.585, 0.827, 0.668)
Ti (0.768, 0.340, 0.159)
Ti (0.791, 0.157, 0.841)
Ti (0.792, 0.655, 0.824)
O (0.115, 0.055, 0.100)
O (0.133, 0.599, 0.231)
O (0.138, 0.339, 0.503)
O (0.148, 0.376, 0.895)
O (0.174, 0.266, 0.296)
O (0.201, 0.950, 0.410)
O (0.277, 0.795, 0.971)
O (0.313, 0.836, 0.595)
O (0.320, 0.489, 0.071)
O (0.327, 0.605, 0.723)
O (0.447, 0.012, 0.842)
O (0.451, 0.706, 0.433)
O (0.549, 0.294, 0.567)
O (0.553, 0.988, 0.158)
O (0.673, 0.395, 0.277)
O (0.680, 0.511, 0.929)
O (0.687, 0.164, 0.405)
O (0.723, 0.205, 0.029)
O (0.799, 0.050, 0.590)
O (0.826, 0.734, 0.704)
O (0.852, 0.624, 0.105)
O (0.862, 0.661, 0.497)
O (0.867, 0.401, 0.769)
O (0.885, 0.945, 0.900)


This entry pairs a crystal structure of ZrCrAgS4 with its calculated XRD peak list. Radiation: a wavelength of 1.5418 Å. Structure: the GGA-PBE geometry in the Materials Project.
Peak positions follow from Bragg's law for the DFT cell and can differ from measured ones.

Most intense lines, 15 to 90 degrees two-theta, by angle:
| Position (°2θ) | I_rel |
| --- | --- |
| 20.13 | 100.0 |
| 27.76 | 50.5 |
| 28.29 | 49.3 |
| 31.87 | 47.4 |
| 35.34 | 48.3 |
| 35.42 | 33.2 |
| 39.77 | 87.4 |
| 39.85 | 56.3 |
| 50.95 | 36.8 |
| 51.23 | 70.8 |

Cell lengths 6.167, 7.170, 13.280 Å; angles 89.88, 89.86, 89.93 degrees
Fractional coordinates of all 28 atoms:
Zr (0.000, 0.000, 0.000)
Zr (0.000, 0.498, 0.000)
Zr (0.003, 0.518, 0.496)
Zr (0.503, 0.231, 0.503)
Cr (0.499, 0.750, 0.496)
Cr (0.500, 0.749, 0.003)
Cr (0.502, 0.249, 0.997)
Cr (0.998, 0.997, 0.499)
Ag (0.162, 0.249, 0.754)
Ag (0.481, 0.245, 0.255)
Ag (0.524, 0.753, 0.749)
Ag (0.850, 0.747, 0.245)
S (0.159, 0.239, 0.394)
S (0.178, 0.748, 0.110)
S (0.178, 0.769, 0.392)
S (0.183, 0.248, 0.108)
S (0.315, 0.982, 0.606)
S (0.344, 0.509, 0.608)
S (0.352, 0.001, 0.893)
S (0.352, 0.498, 0.893)
S (0.648, 0.499, 0.105)
S (0.648, 0.999, 0.106)
S (0.655, 0.509, 0.389)
S (0.682, 0.984, 0.392)
S (0.816, 0.763, 0.602)
S (0.819, 0.749, 0.892)
S (0.823, 0.250, 0.889)
S (0.849, 0.237, 0.608)


This entry pairs a crystal structure of CrTe2 with its calculated XRD peak list. Radiation: a wavelength of 1.5418 Å. Structure: the GGA-PBE geometry in the Materials Project.
Peak positions follow from Bragg's law for the DFT cell and can differ from measured ones.

Most intense lines, 15 to 90 degrees two-theta, by angle:
| Position (°2θ) | I_rel |
| --- | --- |
| 28.95 | 14.5 |
| 30.50 | 100.0 |
| 39.83 | 30.8 |
| 47.26 | 26.9 |
| 52.29 | 21.3 |
| 56.38 | 13.7 |
| 57.29 | 16.3 |
| 73.12 | 7.7 |
| 77.35 | 13.3 |
| 79.70 | 11.1 |

Cell lengths 3.847, 3.847, 6.168 Å; angles 90.00, 90.00, 120.00 degrees
Fractional coordinates of all 3 atoms:
Cr (0.000, 0.000, 0.000)
Te (0.333, 0.667, 0.252)
Te (0.667, 0.333, 0.748)


This entry pairs a crystal structure of Ba2SrI6 with its calculated XRD peak list. Radiation: a wavelength of 1.5418 Å. Structure: the GGA-PBE geometry in the Materials Project.
Peak positions follow from Bragg's law for the DFT cell and can differ from measured ones.

Most intense lines, 15 to 90 degrees two-theta, by angle:
| Position (°2θ) | I_rel |
| --- | --- |
| 16.90 | 23.8 |
| 23.88 | 100.0 |
| 31.95 | 54.4 |
| 35.99 | 44.9 |
| 42.38 | 19.7 |
| 43.66 | 19.5 |
| 48.89 | 16.2 |
| 57.82 | 16.7 |
| 62.18 | 15.6 |
| 62.77 | 16.8 |

Cell lengths 8.643, 8.643, 7.356 Å; angles 90.00, 90.00, 120.00 degrees
Fractional coordinates of all 9 atoms:
Ba (0.333, 0.667, 0.000)
Ba (0.667, 0.333, 0.000)
Sr (0.000, 0.000, 0.500)
I (0.000, 0.328, 0.741)
I (0.000, 0.672, 0.259)
I (0.328, 0.000, 0.741)
I (0.328, 0.328, 0.259)
I (0.672, 0.000, 0.259)
I (0.672, 0.672, 0.741)


This entry pairs a crystal structure of NaCaSiO4 with its calculated XRD peak list. Radiation: a wavelength of 1.5418 Å. Structure: the GGA-PBE geometry in the Materials Project.
Peak positions follow from Bragg's law for the DFT cell and can differ from measured ones.

Most intense lines, 15 to 90 degrees two-theta, by angle:
| Position (°2θ) | I_rel |
| --- | --- |
| 22.89 | 17.5 |
| 30.91 | 100.0 |
| 31.36 | 40.7 |
| 33.09 | 65.0 |
| 45.05 | 30.4 |
| 46.76 | 17.0 |
| 50.66 | 17.1 |
| 56.94 | 14.0 |
| 57.39 | 30.4 |
| 61.86 | 18.2 |

Cell lengths 5.423, 5.423, 7.207 Å; angles 90.00, 90.00, 116.54 degrees
Fractional coordinates of all 14 atoms:
Na (0.182, 0.818, 0.750)
Na (0.818, 0.182, 0.250)
Ca (0.496, 0.496, 0.000)
Ca (0.504, 0.504, 0.500)
Si (0.144, 0.856, 0.250)
Si (0.856, 0.144, 0.750)
O (0.193, 0.280, 0.744)
O (0.226, 0.730, 0.437)
O (0.270, 0.774, 0.063)
O (0.280, 0.193, 0.256)
O (0.720, 0.807, 0.756)
O (0.730, 0.226, 0.563)
O (0.774, 0.270, 0.937)
O (0.807, 0.720, 0.244)